Diffraction record for Sr5MnFe4O10. The PXRD pattern is calculated, not measured: it uses a structure optimized by DFT (GGA+U) and CuKα.
Lines closer than 0.1° are merged.

Most intense lines, 10 to 90 degrees two-theta, by angle:
- 2θ 30.93, 2.891 Å, intensity 37.5, hkl 1 -1 5
- 2θ 33.89, 2.645 Å, intensity 100.0, hkl 2 0 -1
- 2θ 44.21, 2.048 Å, intensity 16.7, hkl 0 0 10
- 2θ 44.40, 2.040 Å, intensity 16.9, hkl 2 -2 0
- 2θ 56.87, 1.619 Å, intensity 20.9, hkl 2 0 9
- 2θ 56.99, 1.616 Å, intensity 21.1, hkl 3 -1 4

Unit cell a=5.355 b=5.356 c=20.775 alpha=96.20 beta=96.20 gamma=99.27
Space group P1 (No. 1)
One atom of each set of equivalent atoms:
Sr  0.000  0.000  0.000 x1
Sr  0.098  0.098  0.197 x1
Sr  0.198  0.197  0.396 x1
Sr  0.298  0.298  0.594 x1
Sr  0.396  0.396  0.792 x1
Sr  0.500  0.500  0.000 x1
Sr  0.598  0.598  0.197 x1
Sr  0.698  0.698  0.396 x1
Sr  0.798  0.797  0.594 x1
Sr  0.896  0.896  0.792 x1
Mn  0.448  0.948  0.896 x1
Mn  0.948  0.449  0.896 x1
Fe  0.049  0.548  0.099 x1
Fe  0.148  0.648  0.296 x1
Fe  0.248  0.747  0.495 x1
Fe  0.348  0.848  0.694 x1
Fe  0.549  0.049  0.099 x1
Fe  0.648  0.148  0.296 x1
Fe  0.748  0.248  0.495 x1
Fe  0.847  0.348  0.694 x1
O  0.001  0.501  0.000 x1
O  0.098  0.598  0.197 x1
O  0.099  0.099  0.694 x1
O  0.198  0.198  0.896 x1
O  0.198  0.698  0.396 x1
O  0.298  0.298  0.098 x1
O  0.298  0.798  0.594 x1
O  0.397  0.898  0.792 x1
O  0.398  0.398  0.296 x1
O  0.498  0.497  0.495 x1
O  0.501  0.001  0.000 x1
O  0.598  0.098  0.197 x1
O  0.599  0.599  0.694 x1
O  0.698  0.198  0.396 x1
O  0.698  0.698  0.896 x1
O  0.798  0.298  0.594 x1
O  0.798  0.798  0.098 x1
O  0.897  0.398  0.792 x1
O  0.898  0.898  0.296 x1
O  0.998  0.997  0.495 x1